CaB2O4: theoretical X-ray powder pattern (a wavelength of 1.5418 Å), based on a cell relaxed with PBE.
No peak broadening, texture or thermal motion is included.

Top 8 peaks for 2θ = 10–90°, in order of rising 2θ:
| 2θ (°) | d (Å) | I (rel.) |
| --- | --- | --- |
| 12.3 | 7.225 | 61.6 |
| 24.6 | 3.612 | 49.4 |
| 25.4 | 3.500 | 100.0 |
| 30.4 | 2.939 | 47.0 |
| 37.1 | 2.421 | 51.1 |
| 45.6 | 1.991 | 61.1 |
| 48.5 | 1.879 | 76.8 |
| 50.5 | 1.806 | 40.4 |

Cell and atoms:
```
CaB2O4
1.0
8.434 0.000 0.000
0.000 14.001 0.000
0.000 0.000 5.055
Ca B O
8 16 32
Direct
0.115 0.144 0.119 Ca
0.115 0.356 0.619 Ca
0.385 0.144 0.619 Ca
0.385 0.356 0.119 Ca
0.615 0.644 0.881 Ca
0.615 0.856 0.381 Ca
0.885 0.644 0.381 Ca
0.885 0.856 0.881 Ca
0.037 0.638 0.876 B
0.037 0.862 0.376 B
0.245 0.551 0.131 B
0.245 0.949 0.631 B
0.255 0.551 0.631 B
0.255 0.949 0.131 B
0.463 0.638 0.376 B
0.463 0.862 0.876 B
0.537 0.138 0.124 B
0.537 0.362 0.624 B
0.745 0.051 0.869 B
0.745 0.449 0.369 B
0.755 0.051 0.369 B
0.755 0.449 0.869 B
0.963 0.138 0.624 B
0.963 0.362 0.124 B
0.101 0.610 0.114 O
0.101 0.890 0.614 O
0.105 0.186 0.628 O
0.105 0.314 0.128 O
0.111 0.614 0.643 O
0.111 0.886 0.143 O
0.241 0.008 0.880 O
0.241 0.492 0.380 O
0.259 0.008 0.380 O
0.259 0.492 0.880 O
0.389 0.614 0.143 O
0.389 0.886 0.643 O
0.395 0.186 0.128 O
0.395 0.314 0.628 O
0.399 0.610 0.614 O
0.399 0.890 0.114 O
0.601 0.110 0.886 O
0.601 0.390 0.386 O
0.605 0.686 0.372 O
0.605 0.814 0.872 O
0.611 0.114 0.357 O
0.611 0.386 0.857 O
0.741 0.508 0.120 O
0.741 0.992 0.620 O
0.759 0.508 0.620 O
0.759 0.992 0.120 O
0.889 0.114 0.857 O
0.889 0.386 0.357 O
0.895 0.686 0.872 O
0.895 0.814 0.372 O
0.899 0.110 0.386 O
0.899 0.390 0.886 O
```

***

CsMg14B: theoretical X-ray powder pattern (a wavelength of 1.5418 Å), based on a cell relaxed with PBE.
No peak broadening, texture or thermal motion is included.

Top 8 peaks for 2θ = 10–90°, in order of rising 2θ:
| 2θ (°) | d (Å) | I (rel.) |
| --- | --- | --- |
| 15.8 | 5.607 | 32.7 |
| 18.0 | 4.932 | 50.4 |
| 23.4 | 3.807 | 38.0 |
| 27.9 | 3.192 | 32.1 |
| 31.9 | 2.804 | 43.8 |
| 34.6 | 2.592 | 44.9 |
| 34.9 | 2.572 | 75.2 |
| 36.4 | 2.466 | 100.0 |

Cell and atoms:
```
CsMg14B
1.0
10.369 0.000 0.000
0.000 3.182 5.925
0.000 -3.182 5.925
Cs Mg B
1 14 1
Direct
0.000 0.000 0.000 Cs
0.000 0.496 0.994 Mg
0.000 0.994 0.496 Mg
0.230 0.627 0.627 Mg
0.254 0.144 0.615 Mg
0.254 0.615 0.144 Mg
0.276 0.142 0.142 Mg
0.500 0.470 0.470 Mg
0.500 0.478 0.964 Mg
0.500 0.964 0.478 Mg
0.500 0.964 0.964 Mg
0.724 0.142 0.142 Mg
0.746 0.144 0.615 Mg
0.746 0.615 0.144 Mg
0.770 0.627 0.627 Mg
0.000 0.389 0.389 B
```

***

Ba2Ge: theoretical X-ray powder pattern (a wavelength of 1.5418 Å), based on a cell relaxed with PBE.
No peak broadening, texture or thermal motion is included.

Top 8 peaks for 2θ = 10–90°, in order of rising 2θ:
| 2θ (°) | d (Å) | I (rel.) |
| --- | --- | --- |
| 26.0 | 3.428 | 100.0 |
| 26.4 | 3.374 | 38.0 |
| 27.8 | 3.204 | 78.8 |
| 28.1 | 3.172 | 21.5 |
| 30.9 | 2.898 | 45.2 |
| 32.6 | 2.750 | 25.5 |
| 32.7 | 2.738 | 49.2 |
| 50.7 | 1.801 | 22.7 |

Cell and atoms:
```
Ba2Ge
1.0
8.566 0.000 0.000
0.000 5.476 0.000
0.000 0.000 10.246
Ba Ge
8 4
Direct
0.019 0.250 0.170 Ba
0.146 0.250 0.584 Ba
0.354 0.750 0.084 Ba
0.481 0.750 0.670 Ba
0.519 0.250 0.330 Ba
0.646 0.250 0.916 Ba
0.854 0.750 0.416 Ba
0.981 0.750 0.830 Ba
0.249 0.250 0.900 Ge
0.251 0.750 0.400 Ge
0.749 0.250 0.600 Ge
0.751 0.750 0.100 Ge
```

***

Gd6MgIn2O12: theoretical X-ray powder pattern (a wavelength of 1.5418 Å), based on a cell relaxed with PBE.
No peak broadening, texture or thermal motion is included.

Top 8 peaks for 2θ = 10–90°, in order of rising 2θ:
| 2θ (°) | d (Å) | I (rel.) |
| --- | --- | --- |
| 23.3 | 3.818 | 63.4 |
| 28.3 | 3.152 | 68.1 |
| 28.3 | 3.149 | 100.0 |
| 29.7 | 3.004 | 26.3 |
| 31.0 | 2.884 | 50.1 |
| 31.1 | 2.873 | 57.7 |
| 32.2 | 2.779 | 34.9 |
| 47.6 | 1.911 | 25.9 |

Cell and atoms:
```
Gd6MgIn2O12
1.0
6.838 0.000 0.000
-0.503 6.941 0.000
-0.211 -0.230 6.986
Gd Mg In O
6 1 2 12
Direct
0.000 0.000 0.000 Gd
0.088 0.136 0.500 Gd
0.280 0.512 0.174 Gd
0.424 0.804 0.653 Gd
0.602 0.269 0.820 Gd
0.798 0.622 0.352 Gd
0.683 0.672 0.945 Mg
0.037 0.549 0.754 In
0.562 0.087 0.279 In
0.076 0.474 0.449 O
0.112 0.867 0.715 O
0.215 0.188 0.182 O
0.343 0.546 0.851 O
0.411 0.125 0.591 O
0.474 0.744 0.348 O
0.611 0.458 0.111 O
0.648 0.944 0.891 O
0.715 0.568 0.677 O
0.903 0.926 0.316 O
0.935 0.244 0.785 O
0.976 0.657 0.045 O
```

***

DyNiP: theoretical X-ray powder pattern (a wavelength of 1.5418 Å), based on a cell relaxed with PBE.
No peak broadening, texture or thermal motion is included.

Top 8 peaks for 2θ = 10–90°, in order of rising 2θ:
| 2θ (°) | d (Å) | I (rel.) |
| --- | --- | --- |
| 26.4 | 3.379 | 30.4 |
| 35.3 | 2.541 | 100.0 |
| 46.5 | 1.951 | 34.4 |
| 47.2 | 1.927 | 10.9 |
| 59.8 | 1.547 | 21.5 |
| 68.4 | 1.371 | 21.0 |
| 79.0 | 1.212 | 19.1 |
| 79.9 | 1.201 | 9.2 |

Cell and atoms:
```
DyNiP
1.0
3.902 0.000 0.000
-1.951 3.379 0.000
0.000 0.000 15.414
Dy Ni P
4 4 4
Direct
0.000 0.000 0.000 Dy
0.000 0.000 0.250 Dy
0.000 0.000 0.500 Dy
0.000 0.000 0.750 Dy
0.333 0.667 0.128 Ni
0.333 0.667 0.372 Ni
0.667 0.333 0.628 Ni
0.667 0.333 0.872 Ni
0.333 0.667 0.623 P
0.333 0.667 0.877 P
0.667 0.333 0.123 P
0.667 0.333 0.377 P
```

***

Sr5ZnCd4: theoretical X-ray powder pattern (a wavelength of 1.5418 Å), based on a cell relaxed with PBE.
No peak broadening, texture or thermal motion is included.

Top 8 peaks for 2θ = 10–90°, in order of rising 2θ:
| 2θ (°) | d (Å) | I (rel.) |
| --- | --- | --- |
| 31.2 | 2.868 | 51.1 |
| 31.4 | 2.851 | 100.0 |
| 44.7 | 2.028 | 18.7 |
| 45.2 | 2.005 | 8.8 |
| 55.6 | 1.653 | 37.9 |
| 56.0 | 1.643 | 18.4 |
| 65.5 | 1.426 | 11.3 |
| 73.9 | 1.283 | 8.1 |

Cell and atoms:
```
Sr5ZnCd4
1.0
4.056 0.000 0.000
0.000 4.056 0.000
0.000 0.000 20.046
Sr Zn Cd
5 1 4
Direct
0.000 0.000 0.000 Sr
0.000 0.000 0.200 Sr
0.000 0.000 0.404 Sr
0.000 0.000 0.596 Sr
0.000 0.000 0.800 Sr
0.500 0.500 0.500 Zn
0.500 0.500 0.100 Cd
0.500 0.500 0.300 Cd
0.500 0.500 0.700 Cd
0.500 0.500 0.900 Cd
```

***

Lu3Mg: theoretical X-ray powder pattern (a wavelength of 1.5418 Å), based on a cell relaxed with PBE.
No peak broadening, texture or thermal motion is included.

Top 8 peaks for 2θ = 10–90°, in order of rising 2θ:
| 2θ (°) | d (Å) | I (rel.) |
| --- | --- | --- |
| 32.8 | 2.734 | 25.3 |
| 32.9 | 2.722 | 100.0 |
| 33.2 | 2.696 | 24.4 |
| 47.4 | 1.920 | 18.2 |
| 58.6 | 1.576 | 29.2 |
| 59.2 | 1.561 | 19.2 |
| 69.0 | 1.361 | 11.9 |
| 78.4 | 1.220 | 12.5 |

Cell and atoms:
```
Lu3Mg
1.0
1.930 -2.696 0.000
1.930 2.696 0.000
0.000 0.000 10.937
Lu Mg
3 1
Direct
0.000 0.000 0.000 Lu
0.500 0.500 0.251 Lu
0.500 0.500 0.749 Lu
0.000 0.000 0.500 Mg
```